(1)
Calculated powder diffraction line list
Compound: Er2ZrTe2N2
Radiation: λ = 1.5418 Å (Cu Kα)
Structure: a structure optimized by DFT (GGA-PBE)
Peak positions follow from Bragg's law for the DFT cell and can differ from measured ones.

The 10 most intense peaks (2θ from 10° to 90°), sorted by position:
2θ (°)	intensity
10.46	11
29.95	80
33.96	100
36.87	13
42.86	35
43.14	12
55.78	48
62.23	12
70.58	14
88.38	13

Structural model:
a = 8.9681 Å, b = 8.9681 Å, c = 8.9681 Å
α = 152.79°, β = 152.79°, γ = 38.87°
Positions (direct):
Er1 0.0949 0.0949 0.0000
Er2 0.9051 0.9051 0.0000
Zr1 0.5000 0.5000 0.0000
Te1 0.3239 0.3239 0.0000
Te2 0.6761 0.6761 0.0000
N1 0.0000 0.5000 0.5000
N2 0.5000 0.0000 0.5000

(2)
Calculated powder diffraction line list
Compound: ErTmTh2N4
Radiation: λ = 1.5418 Å (Cu Kα)
Structure: a structure optimized by DFT (GGA-PBE)
Peak positions follow from Bragg's law for the DFT cell and can differ from measured ones.

The 10 most intense peaks (2θ from 10° to 90°), sorted by position:
2θ (°)	intensity
30.89	100
35.82	68
51.56	48
61.32	42
64.34	12
75.91	8
84.13	13
84.25	7
86.84	11
86.94	11

Structural model:
a = 6.1345 Å, b = 3.5486 Å, c = 6.1419 Å
α = 90.00°, β = 109.49°, γ = 90.00°
Positions (direct):
Er1 0.0000 0.0000 0.0000
Tm1 0.0000 0.5000 0.5000
Th1 0.5000 0.0000 0.5000
Th2 0.5000 0.5000 0.0000
N1 0.2391 0.0000 0.7453
N2 0.2398 0.5000 0.2476
N3 0.7602 0.5000 0.7524
N4 0.7609 0.0000 0.2547

(3)
Calculated powder diffraction line list
Compound: Er7Tl4N
Radiation: λ = 1.5418 Å (Cu Kα)
Structure: a structure optimized by DFT (GGA-PBE)
Peak positions follow from Bragg's law for the DFT cell and can differ from measured ones.

The 10 most intense peaks (2θ from 10° to 90°), sorted by position:
2θ (°)	intensity
19.61	19
24.55	25
34.01	100
34.22	87
35.03	41
37.20	42
45.88	18
52.01	27
60.48	16
65.03	16

Structural model:
a = 8.6818 Å, b = 8.6818 Å, c = 11.0183 Å
α = 127.61°, β = 127.61°, γ = 32.33°
Positions (direct):
Er1 0.0000 0.0000 0.0000
Er2 0.1232 0.1232 0.5439
Er3 0.2788 0.2788 0.1468
Er4 0.4490 0.4490 0.7621
Er5 0.5510 0.5510 0.2379
Er6 0.7212 0.7212 0.8532
Er7 0.8768 0.8768 0.4561
Tl1 0.0866 0.0866 0.7938
Tl2 0.2255 0.2255 0.3727
Tl3 0.7745 0.7745 0.6273
Tl4 0.9134 0.9134 0.2062
N1 0.5000 0.5000 0.0000